[1]
Starting from a crystal structure in Alexandria, relaxed with GGA-PBE, the powder XRD pattern of YbBeNF6 was calculated for Cu Kα X-rays.

Cell: 5.730 6.956 7.000 Å, 90.00 94.32 90.00°
Atoms (fractional coordinates):
Yb 0.168 0.250 0.258
Yb 0.832 0.750 0.742
Be 0.055 0.250 0.750
Be 0.945 0.750 0.250
N 0.270 0.750 0.798
N 0.730 0.250 0.202
F 0.099 0.563 0.260
F 0.099 0.937 0.260
F 0.206 0.250 0.946
F 0.208 0.250 0.574
F 0.410 0.593 0.749
F 0.410 0.907 0.749
F 0.590 0.093 0.251
F 0.590 0.407 0.251
F 0.792 0.750 0.426
F 0.794 0.750 0.054
F 0.901 0.063 0.740
F 0.901 0.437 0.740

Largest 10 diffraction maxima, sorted by position, 5 to 70 degrees two-theta:
2theta	I/Imax
15.51	25
18.00	100
19.32	18
20.11	66
20.82	19
25.56	73
32.97	18
33.92	24
40.89	29
42.05	19

***

[2]
Starting from a crystal structure in Alexandria, relaxed with GGA-PBE, the powder XRD pattern of LiUTi2N4 was calculated for Cu Kα X-rays.

Cell: 5.477 5.477 5.477 Å, 132.73 132.73 69.08°
Atoms (fractional coordinates):
Li 0.000 0.000 0.000
U 0.500 0.500 0.000
Ti 0.250 0.750 0.500
Ti 0.750 0.250 0.500
N 0.000 0.500 0.500
N 0.258 0.258 0.000
N 0.500 0.000 0.500
N 0.742 0.742 0.000

Largest 10 diffraction maxima, sorted by position, 5 to 70 degrees two-theta:
2theta	I/Imax
19.68	12
22.52	100
28.75	10
35.08	50
36.20	29
39.97	17
41.11	31
47.37	29
55.92	17
58.68	20

***

[3]
Starting from a crystal structure in Alexandria, relaxed with GGA-PBE, the powder XRD pattern of Pm2OsPdO8 was calculated for Cu Kα X-rays.

Cell: 4.290 5.428 7.060 Å, 81.01 81.38 84.51°
Atoms (fractional coordinates):
Pm 0.160 0.033 0.224
Pm 0.840 0.967 0.776
Os 0.500 0.500 0.500
Pd 0.500 0.500 0.000
O 0.215 0.786 0.528
O 0.231 0.297 0.660
O 0.283 0.849 0.940
O 0.315 0.442 0.279
O 0.685 0.558 0.721
O 0.717 0.151 0.060
O 0.769 0.703 0.340
O 0.785 0.214 0.472

Largest 10 diffraction maxima, sorted by position, 5 to 70 degrees two-theta:
2theta	I/Imax
22.45	25
25.87	74
26.17	40
26.45	32
27.85	83
28.68	100
31.10	69
32.83	54
33.52	57
54.38	43